Record 1
Simulated PXRD pattern
Compound: Pu2WO8
Radiation: Cu Ka
Structure: a structure optimized by DFT (GGA+U)
No peak broadening, texture or thermal motion is included.

Top 10 peaks for 2θ = 15–90°, low angle first:
2θ = 17.24°, I = 14; 2θ = 22.72°, I = 100; 2θ = 34.40°, I = 32; 2θ = 34.86°, I = 35; 2θ = 36.32°, I = 15; 2θ = 42.42°, I = 21; 2θ = 48.66°, I = 25; 2θ = 50.88°, I = 14; 2θ = 55.71°, I = 15; 2θ = 57.05°, I = 16

Cell and atoms:
Unit cell a=6.023 b=9.894 c=6.030 alpha=90.00 beta=90.00 gamma=90.00
Space group C222 (No. 21)
Asymmetric unit:
Pu  0.250  0.250  0.232 x4
W  0.000  0.000  0.500 x2
O  0.000  0.207  0.500 x4
O  0.000  0.262  0.000 x4
O  0.222  0.037  0.279 x8

=====

Record 2
Simulated PXRD pattern
Compound: PuW4O12
Radiation: Cu Ka
Structure: a structure optimized by DFT (GGA+U)
No peak broadening, texture or thermal motion is included.

Top 10 peaks for 2θ = 15–90°, low angle first:
2θ = 15.82°, I = 22; 2θ = 16.19°, I = 39; 2θ = 22.44°, I = 49; 2θ = 23.50°, I = 20; 2θ = 27.80°, I = 19; 2θ = 31.95°, I = 51; 2θ = 32.72°, I = 100; 2θ = 45.81°, I = 30; 2θ = 57.43°, I = 45; 2θ = 58.89°, I = 23

Cell and atoms:
Unit cell a=7.923 b=7.923 c=7.570 alpha=90.00 beta=90.00 gamma=90.00
Space group I4/mmm (No. 139)
Asymmetric unit:
Pu  0.000  0.000  0.000 x2
W  0.250  0.250  0.250 x8
O  0.000  0.235  0.195 x16
O  0.210  0.210  0.500 x8